The following is a simulated X-ray powder pattern of K2CeUN4. It was derived from a cell relaxed with GGA-PBE, using Cu Ka.
Neutral-atom scattering factors, no anomalous dispersion.

Most intense lines, 10 to 90 degrees two-theta, by intensity:
| 2θ (°) | I (rel.) | hkl |
| --- | --- | --- |
| 13.9 | 100.0 | 0 0 1 |
| 34.3 | 56.4 | 1 1 1 |
| 30.2 | 51.9 | 1 1 -1 |
| 28.0 | 36.1 | 0 0 2 |
| 48.0 | 27.7 | 2 0 2 |
| 29.1 | 27.3 | 1 1 0 |
| 34.7 | 26.7 | 2 0 -2 |
| 30.4 | 25.5 | 2 0 0 |
| 51.1 | 18.0 | 3 1 -1 |
| 37.3 | 16.9 | 2 0 1 |

Cell and atoms:
```
K2CeUN4
1.0
6.170 0.000 0.000
0.000 3.603 0.000
-2.018 0.000 6.383
K Ce U N
2 1 1 4
direct
0.000 0.000 0.000 K
0.500 0.500 0.000 K
0.000 0.500 0.500 Ce
0.500 0.000 0.500 U
0.249 0.000 0.659 N
0.295 0.500 0.338 N
0.705 0.500 0.662 N
0.751 0.000 0.341 N
```